[1]
Simulated XRD peak list
Compound: LaTb3Ce2Ho6
Radiation: copper Kα
Structure: a crystal structure in Alexandria, relaxed with PBE
Peak positions follow from Bragg's law for the DFT cell and can differ from measured ones.

Principal peaks in the range 2θ = 10–80°, by intensity:
30.87 deg, rel. 100; 35.83 deg, rel. 67; 61.31 deg, rel. 43; 30.99 deg, rel. 33; 51.51 deg, rel. 24; 51.65 deg, rel. 24; 61.46 deg, rel. 14; 64.33 deg, rel. 12; 75.94 deg, rel. 8; 64.59 deg, rel. 4

Crystal structure
```
data_LaTb3Ce2Ho6
_chemical_formula_sum 'La1 Tb3 Ce2 Ho6'
_cell_length_a 6.1468
_cell_length_b 6.1468
_cell_length_c 11.7244
_cell_angle_alpha 95.01
_cell_angle_beta 95.01
_cell_angle_gamma 120.01
_space_group_name_H-M_alt 'P 1'
_space_group_IT_number 1
loop_
_space_group_symop_operation_xyz
'x,y,z'
loop_
_atom_site_label
_atom_site_fract_x
_atom_site_fract_y
_atom_site_fract_z
La1 0.0000 0.0000 0.0000
Tb1 0.1665 0.8335 0.5000
Tb2 0.5000 0.5000 0.5000
Tb3 0.8335 0.1665 0.5000
Ce1 0.3333 0.6667 0.0000
Ce2 0.6667 0.3333 0.0000
Ho1 0.0838 0.4204 0.2504
Ho2 0.2528 0.2528 0.7497
Ho3 0.4204 0.0838 0.2504
Ho4 0.5796 0.9162 0.7496
Ho5 0.7472 0.7472 0.2503
Ho6 0.9162 0.5796 0.7496
```



[2]
Simulated XRD peak list
Compound: LiCeHoSi
Radiation: copper Kα
Structure: a crystal structure in Alexandria, relaxed with PBE
Peak positions follow from Bragg's law for the DFT cell and can differ from measured ones.

Principal peaks in the range 2θ = 10–80°, by intensity:
35.84 deg, rel. 100; 25.13 deg, rel. 79; 64.41 deg, rel. 36; 58.23 deg, rel. 32; 44.28 deg, rel. 24; 51.59 deg, rel. 18; 75.96 deg, rel. 11; 21.72 deg, rel. 2; 42.30 deg, rel. 1; 56.62 deg, rel. 1

Crystal structure
```
data_LiCeHoSi
_chemical_formula_sum 'Li4 Ce4 Ho4 Si4'
_cell_length_a 7.0862
_cell_length_b 7.0862
_cell_length_c 7.0862
_cell_angle_alpha 90.00
_cell_angle_beta 90.00
_cell_angle_gamma 90.00
_space_group_name_H-M_alt 'P 1'
_space_group_IT_number 1
loop_
_space_group_symop_operation_xyz
'x,y,z'
loop_
_atom_site_label
_atom_site_fract_x
_atom_site_fract_y
_atom_site_fract_z
Li1 0.0000 0.0000 0.0000
Li2 0.0000 0.5000 0.5000
Li3 0.5000 0.0000 0.5000
Li4 0.5000 0.5000 0.0000
Ce1 0.2500 0.2500 0.2500
Ce2 0.2500 0.7500 0.7500
Ce3 0.7500 0.2500 0.7500
Ce4 0.7500 0.7500 0.2500
Ho1 0.2500 0.2500 0.7500
Ho2 0.2500 0.7500 0.2500
Ho3 0.7500 0.2500 0.2500
Ho4 0.7500 0.7500 0.7500
Si1 0.0000 0.0000 0.5000
Si2 0.0000 0.5000 0.0000
Si3 0.5000 0.0000 0.0000
Si4 0.5000 0.5000 0.5000
```